Computed powder X-ray diffraction pattern
Compound: Rb2Ga2B2O7
Radiation: copper Kα
Structure: a structure optimized by DFT (PBE)
Kinematic intensities with the Lorentz-polarization factor, no thermal factor.

Structural model:
```
52
Lattice="8.9626 0.0000 0.0000 0.0000 7.8634 0.0000 -3.2882 0.0000 11.8209" Properties=species:S:1:pos:R:3 pbc="T T T"
Rb -0.0446 1.0164 1.4798
Rb -1.6887 2.9153 7.3902
Rb 1.2164 4.9175 10.0015
Rb 2.8604 6.8777 4.0911
Rb 2.8140 0.9858 7.7298
Rb 4.4580 2.9459 1.8194
Rb 7.3631 4.9481 4.4307
Rb 5.7190 6.8470 10.3411
Ga 1.2324 4.4502 1.5819
Ga -0.4116 7.3449 7.4923
Ga 0.1968 0.9526 10.4723
Ga 1.8408 2.9791 4.5618
Ga 3.8336 4.8843 7.2591
Ga 5.4776 6.9108 1.3486
Ga 6.0860 0.5185 4.3286
Ga 4.4420 3.4132 10.2390
B 0.0140 0.7532 4.8716
B -1.6300 3.1785 10.7820
B 0.9781 4.9834 6.5564
B 2.6222 6.8117 0.6459
B 3.0522 1.0517 11.1749
B 4.6963 2.8800 5.2645
B 7.3044 4.6849 1.0389
B 5.6604 7.1102 6.9493
O -1.0602 0.1125 4.2664
O -2.7043 3.8192 10.1769
O -0.2133 5.5549 7.0041
O 1.4308 6.2403 1.0937
O 0.8519 1.4912 4.0492
O -0.7922 2.4406 9.9596
O 0.3451 0.6091 6.2044
O 1.9892 3.3226 0.2939
O 2.4788 0.1615 0.0022
O 0.8347 3.7702 5.9126
O 2.0950 4.1468 3.1706
O 0.4509 7.6483 9.0810
O 2.1866 5.6216 6.7647
O 3.8307 6.1735 0.8542
O 1.8438 1.6899 10.9666
O 3.4878 2.2418 5.0562
O 5.2235 0.2151 2.7399
O 3.5794 3.7166 8.6503
O 4.8397 4.0932 5.9082
O 3.1956 7.7019 11.8187
O 3.6852 4.5408 11.5269
O 5.3293 7.2543 5.6165
O 6.4666 5.4229 1.8612
O 4.8226 6.3723 7.7717
O 4.2436 1.6231 10.7272
O 5.8877 2.3086 4.8168
O 8.3787 4.0442 1.6440
O 6.7346 7.7509 7.5544
```

Largest 10 diffraction maxima, sorted by position, 10 to 90 degrees two-theta:
22.0 deg, d = 4.040 Å, intensity 32; 24.8 deg, d = 3.593 Å, intensity 56; 25.2 deg, d = 3.532 Å, intensity 30; 26.8 deg, d = 3.324 Å, intensity 100; 28.7 deg, d = 3.112 Å, intensity 42; 30.2 deg, d = 2.955 Å, intensity 53; 31.9 deg, d = 2.809 Å, intensity 68; 32.1 deg, d = 2.792 Å, intensity 52; 45.2 deg, d = 2.006 Å, intensity 23; 48.5 deg, d = 1.879 Å, intensity 24

***

Computed powder X-ray diffraction pattern
Compound: Ba4LiNp3S12
Radiation: copper Kα
Structure: a structure optimized by DFT (PBE)
Kinematic intensities with the Lorentz-polarization factor, no thermal factor.

Structural model:
```
20
Lattice="-5.1271 5.1271 5.1271 5.1271 -5.1271 5.1271 5.1271 5.1271 -5.1271" Properties=species:S:1:pos:R:3 pbc="T T T"
Ba 2.5636 2.5636 -2.5636
Ba 2.5636 -2.5636 2.5636
Ba -2.5636 2.5636 2.5636
Ba 2.5636 2.5636 2.5636
Li 0.0000 0.0000 0.0000
Np 5.1271 0.0000 0.0000
Np 0.0000 5.1271 0.0000
Np 0.0000 0.0000 5.1271
S 2.6123 0.0000 0.0000
S 7.6419 0.0000 0.0000
S 5.1271 2.5636 0.0000
S 5.1271 0.0000 2.5636
S 0.0000 2.6123 0.0000
S 0.0000 0.0000 2.6123
S 2.5636 5.1271 0.0000
S 2.5636 0.0000 5.1271
S 0.0000 7.6419 0.0000
S 0.0000 0.0000 7.6419
S 0.0000 5.1271 2.5636
S 0.0000 2.5636 5.1271
```

Largest 10 diffraction maxima, sorted by position, 10 to 90 degrees two-theta:
12.2 deg, d = 7.251 Å, intensity 21; 21.2 deg, d = 4.186 Å, intensity 13; 24.6 deg, d = 3.625 Å, intensity 100; 35.0 deg, d = 2.564 Å, intensity 45; 43.2 deg, d = 2.093 Å, intensity 46; 50.3 deg, d = 1.813 Å, intensity 31; 56.8 deg, d = 1.621 Å, intensity 21; 68.5 deg, d = 1.370 Å, intensity 25; 79.3 deg, d = 1.208 Å, intensity 12; 84.5 deg, d = 1.146 Å, intensity 15

***

Computed powder X-ray diffraction pattern
Compound: Hf4AlPd
Radiation: copper Kα
Structure: a structure optimized by DFT (PBE)
Kinematic intensities with the Lorentz-polarization factor, no thermal factor.

Structural model:
```
6
Lattice="-3.4179 3.4179 2.5663 3.4179 -3.4179 2.5663 3.4179 3.4179 -2.5663" Properties=species:S:1:pos:R:3 pbc="T T T"
Hf 2.3728 -1.0451 1.2832
Hf 4.4630 1.0451 1.2832
Hf 1.0451 2.3728 1.2832
Hf -1.0451 4.4630 1.2832
Al 0.0000 0.0000 2.5663
Pd 0.0000 0.0000 0.0000
```

Largest 10 diffraction maxima, sorted by position, 10 to 90 degrees two-theta:
34.1 deg, d = 2.626 Å, intensity 100; 35.0 deg, d = 2.566 Å, intensity 13; 39.8 deg, d = 2.267 Å, intensity 15; 41.8 deg, d = 2.162 Å, intensity 26; 44.1 deg, d = 2.052 Å, intensity 12; 58.5 deg, d = 1.578 Å, intensity 10; 62.2 deg, d = 1.493 Å, intensity 18; 65.6 deg, d = 1.422 Å, intensity 11; 68.8 deg, d = 1.365 Å, intensity 14; 77.5 deg, d = 1.232 Å, intensity 14